The following is a theoretical powder XRD pattern of Cu2AsH2O6. It was derived from the GGA-PBE geometry in the Materials Project, using Cu Kα.
Neutral-atom scattering factors, no anomalous dispersion.

Structural model:
```
data_Cu2AsH2O6
_symmetry_space_group_name_H-M 'P -1'
_symmetry_Int_Tables_number 2
_symmetry_space_group_name_Hall '-P 1'
_cell_length_a 5.410
_cell_length_b 9.064
_cell_length_c 9.943
_cell_angle_alpha 74.60
_cell_angle_beta 82.23
_cell_angle_gamma 79.43
loop_
_atom_site_label
_atom_site_fract_x
_atom_site_fract_y
_atom_site_fract_z
Cu1 0.000 0.000 0.000
Cu2 0.087 0.498 0.136
Cu3 0.267 0.992 0.247
Cu4 0.364 0.396 0.628
Cu5 0.500 0.000 0.500
As1 0.090 0.747 0.541
As2 0.430 0.253 0.959
H1 0.019 0.186 0.770
H2 0.104 0.570 0.347
H3 0.309 0.968 0.742
H4 0.339 0.346 0.308
O1 0.021 0.072 0.799
O2 0.028 0.403 0.720
O3 0.099 0.735 0.711
O4 0.203 0.247 0.507
O5 0.204 0.420 0.971
O6 0.230 0.910 0.444
O7 0.277 0.094 0.052
O8 0.284 0.758 0.990
O9 0.298 0.592 0.481
O10 0.375 0.428 0.223
O11 0.458 0.233 0.788
O12 0.477 0.926 0.700
```

Most intense lines, 10° ≤ 2θ ≤ 90°, low angle first:
- 2θ 18.56, intensity 57, hkl 1 1 1
- 2θ 23.74, intensity 16, hkl 1 2 1
- 2θ 28.56, intensity 53, hkl 1 2 -1
- 2θ 28.99, intensity 100, hkl -1 2 1
- 2θ 31.21, intensity 27, hkl 0 2 -2
- 2θ 35.93, intensity 23, hkl 2 1 2
- 2θ 36.13, intensity 22, hkl 1 -1 3
- 2θ 36.51, intensity 29, hkl 0 1 4
- 2θ 55.34, intensity 18, hkl 3 3 1
- 2θ 56.74, intensity 16, hkl 2 5 2

***

The following is a theoretical powder XRD pattern of CuAsHO4. It was derived from the GGA-PBE geometry in the Materials Project, using Cu Kα.
Neutral-atom scattering factors, no anomalous dispersion.

Structural model:
```
data_CuAsHO4
_symmetry_space_group_name_H-M 'P -1'
_symmetry_Int_Tables_number 2
_symmetry_space_group_name_Hall '-P 1'
_cell_length_a 6.388
_cell_length_b 7.267
_cell_length_c 17.024
_cell_angle_alpha 92.43
_cell_angle_beta 96.87
_cell_angle_gamma 97.10
loop_
_atom_site_label
_atom_site_fract_x
_atom_site_fract_y
_atom_site_fract_z
Cu1 0.085 0.401 0.433
Cu2 0.145 0.356 0.036
Cu3 0.375 0.085 0.932
Cu4 0.379 0.153 0.536
As1 0.089 0.822 0.418
As2 0.154 0.977 0.117
As3 0.355 0.657 0.919
As4 0.418 0.554 0.615
H1 0.107 0.060 0.336
H2 0.260 0.784 0.214
H3 0.274 0.395 0.838
H4 0.393 0.784 0.709
O1 0.014 0.020 0.648
O2 0.084 0.192 0.510
O3 0.089 0.155 0.909
O4 0.093 0.617 0.367
O5 0.131 0.558 0.960
O6 0.151 0.211 0.127
O7 0.208 0.602 0.549
O8 0.260 0.919 0.213
O9 0.317 0.909 0.050
O10 0.322 0.850 0.868
O11 0.342 0.933 0.459
O12 0.359 0.328 0.417
O13 0.388 0.649 0.709
O14 0.409 0.475 0.855
O15 0.423 0.310 0.010
O16 0.426 0.323 0.629
```

Most intense lines, 10° ≤ 2θ ≤ 90°, low angle first:
- 2θ 10.49, intensity 100, hkl 0 0 2
- 2θ 23.71, intensity 6, hkl 1 1 2
- 2θ 25.60, intensity 6, hkl 0 2 1
- 2θ 27.22, intensity 6, hkl 1 1 -4
- 2θ 28.66, intensity 11, hkl 0 2 -3
- 2θ 29.54, intensity 14, hkl 2 0 1
- 2θ 30.24, intensity 10, hkl 0 2 3
- 2θ 30.78, intensity 14, hkl 2 0 -3
- 2θ 35.39, intensity 10, hkl 0 2 -5
- 2θ 37.56, intensity 7, hkl 0 2 5